Computed X-ray powder pattern of Fe4O3F5 for λ = 1.5418 Å (Cu Kα), from a cell relaxed with PBE+U.
Intensities are scaled so that the largest is 100.

Main lines, in order of rising 2θ (2θ from 15° to 90°):
d 3.504, rel. 96
d 3.263, rel. 88
d 2.598, rel. 100
d 2.320, rel. 18
d 2.246, rel. 16
d 1.793, rel. 65
d 1.752, rel. 21
d 1.725, rel. 49
d 1.548, rel. 17
d 1.416, rel. 49

Structure:
a = 5.7017 Å, b = 5.7017 Å, c = 5.7017 Å
α = 114.22°, β = 104.17°, γ = 110.18°
Positions (direct):
1 Fe 0.0000 0.0000 0.0000
2 Fe 0.4631 0.2033 0.7402
3 Fe 0.4631 0.7229 0.2598
4 Fe 0.9640 0.4640 0.5000
5 O 0.2666 0.7666 0.5000
6 O 0.3003 0.3003 0.0000
7 O 0.6674 0.1674 0.5000
8 F 0.1750 0.2358 0.4614
9 F 0.1750 0.7135 0.9391
10 F 0.6864 0.6864 0.0000
11 F 0.7744 0.2358 0.0609
12 F 0.7744 0.7135 0.5386